Record 1
# CsPmSO
Simulated PXRD pattern, Cu Kα X-rays. Input: a DFT-relaxed cell (GGA-PBE, OQMD).
No peak broadening, texture or thermal motion is included.

Crystal structure
Unit cell a=8.211 b=7.592 c=6.854 alpha=90.00 beta=104.04 gamma=90.00
Element x y z (fractional)
1 Cs 0.078 0.239 0.001
2 Cs 0.078 0.261 0.501
3 Cs 0.922 0.739 0.499
4 Cs 0.922 0.761 0.999
5 Pm 0.477 0.629 0.274
6 Pm 0.477 0.871 0.774
7 Pm 0.523 0.129 0.226
8 Pm 0.523 0.371 0.726
9 S 0.269 0.593 0.857
10 S 0.269 0.907 0.357
11 S 0.731 0.093 0.643
12 S 0.731 0.407 0.143
13 O 0.401 0.145 0.880
14 O 0.401 0.355 0.380
15 O 0.599 0.645 0.620
16 O 0.599 0.855 0.120

Principal peaks in the range 2θ from 5° to 70°, in order of falling intensity:
2θ/deg, I_rel
31.6, 100
22.3, 90
28.0, 80
26.4, 73
25.3, 65
39.8, 58
26.0, 58
55.8, 48
49.4, 48
33.1, 46


Record 2
# Cs2PrO3
Simulated PXRD pattern, Cu Kα X-rays. Input: a DFT-relaxed cell (GGA-PBE, OQMD).
No peak broadening, texture or thermal motion is included.

Crystal structure
Unit cell a=6.950 b=6.950 c=6.584 alpha=90.00 beta=90.00 gamma=66.25
Element x y z (fractional)
1 Cs 0.022 0.309 0.000
2 Cs 0.309 0.022 0.500
3 Cs 0.691 0.978 0.000
4 Cs 0.978 0.691 0.500
5 Pr 0.399 0.601 0.966
6 Pr 0.601 0.399 0.466
7 O 0.119 0.881 0.876
8 O 0.351 0.394 0.230
9 O 0.394 0.351 0.730
10 O 0.606 0.649 0.230
11 O 0.649 0.606 0.730
12 O 0.881 0.119 0.376

Principal peaks in the range 2θ from 5° to 70°, in order of falling intensity:
2θ/deg, I_rel
27.1, 100
29.2, 70
37.7, 34
25.8, 31
54.9, 29
47.9, 20
44.9, 16
69.2, 14
49.2, 14
55.9, 13


Record 3
# CsPrS2O8
Simulated PXRD pattern, Cu Kα X-rays. Input: a DFT-relaxed cell (GGA-PBE, OQMD).
No peak broadening, texture or thermal motion is included.

Crystal structure
Unit cell a=9.468 b=13.801 c=5.432 alpha=90.00 beta=90.00 gamma=90.00
Element x y z (fractional)
1 Cs 0.077 0.250 0.250
2 Cs 0.423 0.750 0.250
3 Cs 0.577 0.250 0.750
4 Cs 0.923 0.750 0.750
5 Pr 0.250 0.000 0.678
6 Pr 0.250 0.500 0.822
7 Pr 0.750 0.000 0.322
8 Pr 0.750 0.500 0.178
9 S 0.085 0.589 0.263
10 S 0.085 0.911 0.237
11 S 0.415 0.089 0.237
12 S 0.415 0.411 0.263
13 S 0.585 0.589 0.737
14 S 0.585 0.911 0.763
15 S 0.915 0.089 0.763
16 S 0.915 0.411 0.737
17 O 0.065 0.120 0.776
18 O 0.065 0.380 0.724
19 O 0.094 0.016 0.299
20 O 0.094 0.484 0.201
21 O 0.154 0.609 0.503
22 O 0.154 0.891 0.997
23 O 0.159 0.643 0.062
24 O 0.159 0.857 0.438
25 O 0.341 0.143 0.438
26 O 0.341 0.357 0.062
27 O 0.346 0.109 0.997
28 O 0.346 0.391 0.503
29 O 0.406 0.516 0.201
30 O 0.406 0.984 0.299
31 O 0.435 0.620 0.724
32 O 0.435 0.880 0.776
33 O 0.565 0.120 0.224
34 O 0.565 0.380 0.276
35 O 0.594 0.016 0.701
36 O 0.594 0.484 0.799
37 O 0.654 0.609 0.497
38 O 0.654 0.891 0.003
39 O 0.659 0.643 0.938
40 O 0.659 0.857 0.562
41 O 0.841 0.143 0.562
42 O 0.841 0.357 0.938
43 O 0.846 0.109 0.003
44 O 0.846 0.391 0.497
45 O 0.906 0.516 0.799
46 O 0.906 0.984 0.701
47 O 0.935 0.620 0.276
48 O 0.935 0.880 0.224

Principal peaks in the range 2θ from 5° to 70°, in order of falling intensity:
2θ/deg, I_rel
22.8, 100
27.1, 84
32.8, 50
42.2, 37
43.8, 29
33.0, 19
25.8, 18
37.8, 16
12.8, 15
19.9, 14


Record 4
# CsPrTeO
Simulated PXRD pattern, Cu Kα X-rays. Input: a DFT-relaxed cell (GGA-PBE, OQMD).
No peak broadening, texture or thermal motion is included.

Crystal structure
Unit cell a=9.749 b=7.842 c=7.021 alpha=90.00 beta=98.65 gamma=90.00
Element x y z (fractional)
1 Cs 0.129 0.091 0.333
2 Cs 0.129 0.409 0.833
3 Cs 0.871 0.591 0.167
4 Cs 0.871 0.909 0.667
5 Pr 0.490 0.638 0.789
6 Pr 0.490 0.862 0.289
7 Pr 0.510 0.138 0.711
8 Pr 0.510 0.362 0.211
9 Te 0.259 0.574 0.379
10 Te 0.259 0.926 0.879
11 Te 0.741 0.074 0.121
12 Te 0.741 0.426 0.621
13 O 0.431 0.140 0.387
14 O 0.431 0.360 0.887
15 O 0.569 0.640 0.113
16 O 0.569 0.860 0.613

Principal peaks in the range 2θ from 5° to 70°, in order of falling intensity:
2θ/deg, I_rel
27.1, 100
31.0, 60
26.6, 39
28.6, 39
33.3, 37
9.2, 34
29.4, 26
45.3, 25
27.8, 24
25.7, 20


Record 5
# Cs5RbZn2O5
Simulated PXRD pattern, Cu Kα X-rays. Input: a DFT-relaxed cell (GGA-PBE, OQMD).
No peak broadening, texture or thermal motion is included.

Crystal structure
Unit cell a=7.161 b=7.161 c=7.186 alpha=92.55 beta=92.55 gamma=118.69
Element x y z (fractional)
1 Cs 0.000 0.000 0.000
2 Cs 0.120 0.597 0.682
3 Cs 0.153 0.574 0.188
4 Cs 0.574 0.153 0.188
5 Cs 0.597 0.120 0.682
6 Rb 0.717 0.717 0.368
7 Zn 0.166 0.166 0.490
8 Zn 0.566 0.566 0.852
9 O 0.182 0.917 0.414
10 O 0.415 0.415 0.615
11 O 0.529 0.793 0.962
12 O 0.793 0.529 0.962
13 O 0.917 0.182 0.414

Principal peaks in the range 2θ from 5° to 70°, in order of falling intensity:
2θ/deg, I_rel
28.8, 100
28.5, 87
36.7, 55
29.0, 48
27.8, 32
24.9, 32
33.6, 23
45.8, 22
39.7, 19
36.3, 18


Record 6
# Cs4Rb2Zn2O5
Simulated PXRD pattern, Cu Kα X-rays. Input: a DFT-relaxed cell (GGA-PBE, OQMD).
No peak broadening, texture or thermal motion is included.

Crystal structure
Unit cell a=7.085 b=7.085 c=7.073 alpha=91.54 beta=91.54 gamma=117.98
Element x y z (fractional)
1 Cs 0.000 0.000 0.000
2 Cs 0.295 0.295 0.592
3 Cs 0.440 0.861 0.806
4 Cs 0.861 0.440 0.806
5 Rb 0.419 0.881 0.303
6 Rb 0.881 0.419 0.303
7 Zn 0.447 0.447 0.115
8 Zn 0.858 0.858 0.475
9 O 0.093 0.821 0.565
10 O 0.204 0.479 0.047
11 O 0.479 0.204 0.047
12 O 0.682 0.682 0.259
13 O 0.821 0.093 0.565

Principal peaks in the range 2θ from 5° to 70°, in order of falling intensity:
2θ/deg, I_rel
28.5, 100
29.3, 70
36.3, 32
29.4, 32
25.2, 23
46.7, 19
30.8, 17
34.4, 15
57.8, 14
53.3, 12